(1)
Diffraction record for GdTmInNi2. The powder X-ray diffraction pattern is theoretical, not measured: it uses the GGA-PBE geometry in OQMD and Cu Kα, 1.54184 Å.

Cell and atoms:
```
data_GdTmInNi2
_chemical_formula_sum 'Gd1 Tm1 In1 Ni2'
_space_group_name_H-M_alt 'P 1'
_space_group_IT_number 1
_cell_length_a 3.658
_cell_length_b 7.397
_cell_length_c 7.397
_cell_angle_alpha 30.59
_cell_angle_beta 90.00
_cell_angle_gamma 90.00
loop_
_space_group_symop_operation_xyz
'x,y,z'
loop_
_atom_site_label
_atom_site_type_symbol
_atom_site_fract_x
_atom_site_fract_y
_atom_site_fract_z
Gd1 Gd 0.000 0.000 0.000
Tm1 Tm 0.000 0.277 0.277
In1 In 0.500 0.640 0.640
Ni1 Ni 0.500 0.436 0.436
Ni2 Ni 0.500 0.835 0.835
```

The 8 most intense peaks (10° ≤ 2θ ≤ 80°), in order of falling intensity:
2theta  I_rel
34.18  100
35.14  73
29.61  45
38.69  38
39.10  34
59.63  31
46.56  31
49.86  21

(2)
Diffraction record for GdZnInNi. The powder X-ray diffraction pattern is theoretical, not measured: it uses the GGA-PBE geometry in OQMD and Cu Kα, 1.54184 Å.

Cell and atoms:
```
data_GdZnInNi
_chemical_formula_sum 'Gd2 Zn2 In2 Ni2'
_space_group_name_H-M_alt 'P 1'
_space_group_IT_number 1
_cell_length_a 5.339
_cell_length_b 5.339
_cell_length_c 7.459
_cell_angle_alpha 91.21
_cell_angle_beta 91.21
_cell_angle_gamma 46.53
loop_
_space_group_symop_operation_xyz
'x,y,z'
loop_
_atom_site_label
_atom_site_type_symbol
_atom_site_fract_x
_atom_site_fract_y
_atom_site_fract_z
Gd1 Gd 0.068 0.068 0.276
Gd2 Gd 0.932 0.932 0.724
Zn1 Zn 0.355 0.355 0.446
Zn2 Zn 0.645 0.645 0.554
In1 In 0.355 0.355 0.057
In2 In 0.645 0.645 0.943
Ni1 Ni 0.220 0.220 0.733
Ni2 Ni 0.780 0.780 0.267
```

The 8 most intense peaks (10° ≤ 2θ ≤ 80°), in order of falling intensity:
2theta  I_rel
33.51  100
36.61  96
42.90  88
33.20  74
34.72  48
37.03  44
38.93  37
41.09  31